Theoretical powder XRD pattern
Compound: CsLi2PaS4
Radiation: Cu Ka
Structure: DFT lattice parameters and positions (GGA-PBE)

Atomic structure:
Cell lengths 7.035, 7.035, 9.200 Å; angles 90.00, 90.00, 90.00 degrees
Fractional coordinates of all 16 atoms:
Cs  0.000  0.000  0.000
Cs  0.500  0.500  0.500
Li  0.000  0.500  0.250
Li  0.000  0.500  0.750
Li  0.500  0.000  0.250
Li  0.500  0.000  0.750
Pa  0.000  0.000  0.500
Pa  0.500  0.500  0.000
S  0.199  0.199  0.670
S  0.199  0.801  0.330
S  0.301  0.301  0.170
S  0.301  0.699  0.830
S  0.699  0.301  0.830
S  0.699  0.699  0.170
S  0.801  0.199  0.330
S  0.801  0.801  0.670

Top 10 peaks for 2θ from 5° to 70°, low angle first:
5.589 Å, I = 26.3
4.975 Å, I = 100.0
4.600 Å, I = 22.9
3.518 Å, I = 21.8
3.377 Å, I = 85.9
2.794 Å, I = 61.0
2.487 Å, I = 27.6
2.088 Å, I = 20.7
2.003 Å, I = 43.4
1.925 Å, I = 21.3